The following is a computed powder X-ray diffraction pattern of FePH12C4Br4. It was derived from a structure optimized by DFT (PBE), using copper Kα.

Atomic structure:
```
22
Lattice="0.000 5.775 5.775 5.775 0.000 5.775 5.775 5.775 0.000" Properties=species:S:1:pos:R:3 pbc="T T T"
Fe 0.000 0.000 0.000
P 5.775 5.775 5.775
H 6.175 4.106 4.106
H 7.445 5.376 4.106
H 7.445 4.106 5.376
H 4.106 6.175 4.106
H 5.376 7.445 4.106
H 4.106 4.106 6.175
H 7.445 7.445 6.175
H 5.376 4.106 7.445
H 7.445 6.175 7.445
H 4.106 7.445 5.376
H 4.106 5.376 7.445
H 6.175 7.445 7.445
C 6.812 4.739 4.739
C 4.739 6.812 4.739
C 4.739 4.739 6.812
C 6.812 6.812 6.812
Br 1.364 1.364 1.364
Br 4.411 4.411 1.364
Br 4.411 1.364 4.411
Br 1.364 4.411 4.411
```

The 10 most intense peaks (2θ from 10° to 90°), low angle first:
- 13.3°, I = 779
- 15.3°, I = 435
- 21.8°, I = 177
- 25.6°, I = 359
- 26.7°, I = 1000
- 31.0°, I = 253
- 33.8°, I = 299
- 44.4°, I = 450
- 46.5°, I = 287
- 52.6°, I = 333

---

The following is a computed powder X-ray diffraction pattern of La3Y2Tl. It was derived from a structure optimized by DFT (PBE), using copper Kα.

Atomic structure:
```
12
Lattice="6.654 0.000 0.000 -2.744 6.209 0.000 -1.813 -2.917 9.580" Properties=species:S:1:pos:R:3 pbc="T T T"
La -0.772 1.527 2.514
La -1.378 0.005 9.056
La -0.418 1.584 5.938
La 2.514 1.707 3.642
La 3.474 3.287 0.524
La 2.868 1.764 7.066
Y -1.997 4.671 3.858
Y 1.774 -0.137 0.628
Y 0.322 3.429 8.953
Y 4.093 -1.379 5.722
Tl 0.886 -1.451 7.030
Tl 1.210 4.743 2.550
```

The 10 most intense peaks (2θ from 10° to 90°), low angle first:
- 30.1°, I = 224
- 30.4°, I = 189
- 31.0°, I = 357
- 31.8°, I = 576
- 32.2°, I = 1000
- 34.6°, I = 213
- 34.7°, I = 178
- 49.7°, I = 179
- 59.6°, I = 178
- 60.9°, I = 165

---

The following is a computed powder X-ray diffraction pattern of HoAg3Pd4. It was derived from a structure optimized by DFT (PBE), using copper Kα.

Atomic structure:
```
8
Lattice="7.901 -2.138 0.000 7.901 2.138 0.000 -1.152 0.000 4.119" Properties=species:S:1:pos:R:3 pbc="T T T"
Ho 0.000 0.000 0.000
Ag 3.684 0.000 1.034
Ag 7.325 0.000 2.059
Ag 10.967 0.000 3.084
Pd 1.273 0.000 2.579
Pd 4.901 0.000 3.598
Pd 9.750 0.000 0.520
Pd 13.377 0.000 1.539
```

The 10 most intense peaks (2θ from 10° to 90°), low angle first:
- 21.6°, I = 11
- 38.0°, I = 1000
- 42.3°, I = 369
- 47.8°, I = 128
- 61.3°, I = 119
- 65.7°, I = 144
- 65.7°, I = 48
- 74.5°, I = 265
- 81.3°, I = 105
- 82.5°, I = 101

---

The following is a computed powder X-ray diffraction pattern of Cu3Te8Au3. It was derived from a structure optimized by DFT (PBE), using copper Kα.

Atomic structure:
```
14
Lattice="4.091 2.362 6.411 -4.091 2.362 6.411 0.000 -4.724 6.411" Properties=species:S:1:pos:R:3 pbc="T T T"
Cu 0.000 0.000 0.000
Cu 0.000 0.000 7.344
Cu 0.000 0.000 11.891
Te -2.163 -1.249 11.275
Te 0.000 -2.498 7.959
Te -2.163 1.249 7.959
Te 0.000 0.000 4.742
Te 0.000 0.000 14.493
Te 2.163 -1.249 11.275
Te 0.000 2.498 11.275
Te 2.163 1.249 7.959
Au -4.091 0.000 9.617
Au -2.045 1.181 3.206
Au 2.046 1.181 3.206
```

The 10 most intense peaks (2θ from 10° to 90°), low angle first:
- 13.3°, I = 179
- 13.8°, I = 166
- 25.6°, I = 295
- 31.4°, I = 1000
- 44.3°, I = 530
- 45.6°, I = 488
- 55.3°, I = 194
- 73.4°, I = 160
- 75.3°, I = 159
- 82.4°, I = 161